# 1
Calculated PXRD pattern of La3Sm8Er for λ = 1.5418 Å (Cu Kα), from a DFT-relaxed cell (GGA-PBE, Alexandria).
No peak broadening, texture or thermal motion is included.

Peak list (10 most intense, 15 to 90 degrees two-theta, by intensity)
two_theta  intensity
31.0  100
31.2  75
30.7  58
34.9  45
15.4  30
54.8  29
64.6  28
50.2  25
44.4  22
34.7  21

a b c (Å): 8.8340 8.8340 8.8340
angles (deg): 136.08 98.52 97.57
Element x y z (fractional)
La: 0.0000 0.0000 0.0000
La: 0.2546 0.7546 0.5000
La: 0.7454 0.2454 0.5000
Sm: 0.0840 0.2517 0.8323
Sm: 0.2590 0.2438 0.5028
Sm: 0.2590 0.7562 0.0152
Sm: 0.4193 0.2517 0.1677
Sm: 0.5807 0.7483 0.8323
Sm: 0.7410 0.2438 0.9848
Sm: 0.7410 0.7562 0.4972
Sm: 0.9160 0.7483 0.1677
Er: 0.5000 0.5000 0.0000

# 2
Calculated PXRD pattern of HoScInSn for λ = 1.5418 Å (Cu Kα), from a DFT-relaxed cell (GGA-PBE, Alexandria).
No peak broadening, texture or thermal motion is included.

Peak list (10 most intense, 15 to 90 degrees two-theta, by intensity)
two_theta  intensity
34.6  100
61.9  36
49.7  18
83.3  16
21.0  16
72.9  11
40.8  9
54.5  4
66.2  3
76.8  3

a b c (Å): 5.1899 5.1899 5.1899
angles (deg): 60.00 60.00 60.00
Element x y z (fractional)
Ho: 0.0000 0.0000 0.0000
Sc: 0.5000 0.5000 0.5000
In: 0.2500 0.2500 0.2500
Sn: 0.7500 0.7500 0.7500

# 3
Calculated PXRD pattern of Sr3Li6In5 for λ = 1.5418 Å (Cu Kα), from a DFT-relaxed cell (GGA-PBE, Alexandria).
No peak broadening, texture or thermal motion is included.

Peak list (10 most intense, 15 to 90 degrees two-theta, by intensity)
two_theta  intensity
25.4  100
32.8  30
33.0  25
35.9  25
35.0  21
36.5  17
31.4  17
58.4  16
49.5  16
26.2  15

a b c (Å): 9.2030 9.2030 9.2030
angles (deg): 148.44 115.90 73.21
Element x y z (fractional)
Sr: 0.0000 0.0000 0.0000
Sr: 0.2994 0.2994 0.0000
Sr: 0.7006 0.7006 0.0000
Li: 0.1525 0.8624 0.2902
Li: 0.3178 0.5000 0.8178
Li: 0.4278 0.1376 0.2902
Li: 0.5722 0.8624 0.7098
Li: 0.6822 0.5000 0.1822
Li: 0.8475 0.1376 0.7098
In: 0.0118 0.6624 0.3494
In: 0.3130 0.6624 0.6506
In: 0.5000 0.0000 0.5000
In: 0.6870 0.3376 0.3494
In: 0.9882 0.3376 0.6506

# 4
Calculated PXRD pattern of Al2O3 for λ = 1.5418 Å (Cu Kα), from a DFT-relaxed cell (GGA-PBE, Alexandria).
No peak broadening, texture or thermal motion is included.

Peak list (10 most intense, 15 to 90 degrees two-theta, by intensity)
two_theta  intensity
34.5  100
42.3  61
64.3  50
66.4  49
31.6  47
29.0  36
42.1  24
38.4  23
64.2  22
48.2  20

a b c (Å): 4.8843 8.3962 9.0258
angles (deg): 90.00 90.00 90.00
Element x y z (fractional)
Al: 0.1729 0.0311 0.2114
Al: 0.1769 0.3476 0.4123
Al: 0.1839 0.6601 0.2214
Al: 0.1862 0.3464 0.0000
Al: 0.3138 0.8464 0.5000
Al: 0.3161 0.1601 0.7214
Al: 0.3231 0.8476 0.9123
Al: 0.3271 0.5311 0.7114
Al: 0.6729 0.4689 0.2114
Al: 0.6769 0.1524 0.4123
Al: 0.6839 0.8399 0.2214
Al: 0.6862 0.1536 0.0000
Al: 0.8138 0.6536 0.5000
Al: 0.8161 0.3399 0.7214
Al: 0.8231 0.6524 0.9123
Al: 0.8271 0.9689 0.7114
O: 0.0183 0.1689 0.3527
O: 0.0212 0.8242 0.3401
O: 0.0222 0.4884 0.8470
O: 0.1565 0.3391 0.6111
O: 0.1571 0.6688 0.5853
O: 0.1572 0.9988 0.6176
O: 0.3429 0.1688 0.0853
O: 0.3428 0.4988 0.1176
O: 0.3435 0.8391 0.1111
O: 0.4778 0.9884 0.3470
O: 0.4788 0.3242 0.8401
O: 0.4817 0.6689 0.8527
O: 0.5183 0.3311 0.3527
O: 0.5212 0.6758 0.3401
O: 0.5222 0.0116 0.8470
O: 0.6565 0.1609 0.6111
O: 0.6572 0.5012 0.6176
O: 0.6571 0.8312 0.5853
O: 0.8428 0.0012 0.1176
O: 0.8429 0.3312 0.0853
O: 0.8435 0.6609 0.1111
O: 0.9778 0.5117 0.3470
O: 0.9788 0.1758 0.8401
O: 0.9817 0.8311 0.8527